This entry pairs a crystal structure of BaLaMgNiRuO6 with its calculated powder diffraction line list. Radiation: Cu Kα. Structure: the PBE+U geometry in the Materials Project.

Atomic structure:
```
11
Lattice="5.8369 0.0000 0.0000 -2.9046 5.1443 0.0000 -2.5158 -1.8786 5.0754" Properties=species:S:1:pos:R:3 pbc="T T T"
Ba 0.0000 0.0000 0.0000
La 2.9543 1.6927 1.6804
Mg 0.1065 3.3330 1.7953
Ni -2.5620 1.6544 4.4304
Ru 0.2000 -0.0663 3.5619
O -0.4941 1.5760 2.4610
O -1.1965 0.4143 5.0388
O 0.6131 -1.6385 4.7548
O 1.7142 -0.3777 2.2304
O 1.5440 0.8673 4.7902
O 1.8959 3.8166 2.4374
```

Peak list (12 most intense, 2θ = 10–80°, in order of falling intensity)
2θ 30.2, rel. 100
2θ 30.3, rel. 75
2θ 30.7, rel. 69
2θ 33.5, rel. 43
2θ 33.7, rel. 41
2θ 35.7, rel. 38
2θ 41.7, rel. 32
2θ 54.2, rel. 26
2θ 44.6, rel. 24
2θ 29.6, rel. 23
2θ 28.1, rel. 23
2θ 53.5, rel. 18

This entry pairs a crystal structure of BaLaMnMoO6 with its calculated powder diffraction line list. Radiation: Cu Kα. Structure: the PBE+U geometry in the Materials Project.

Atomic structure:
```
10
Lattice="0.0000 4.1088 4.1088 4.1088 0.0000 4.1088 4.1088 4.1088 0.0000" Properties=species:S:1:pos:R:3 pbc="T T T"
Ba 0.0000 0.0000 0.0000
La 4.1088 4.1088 4.1088
Mn 2.0544 2.0544 2.0544
Mo 6.1632 6.1632 6.1632
O 6.1632 6.1632 4.1767
O 6.1632 4.1767 6.1632
O 8.1496 6.1632 6.1632
O 4.1767 6.1632 6.1632
O 6.1632 8.1496 6.1632
O 6.1632 6.1632 8.1496
```

Peak list (12 most intense, 2θ = 10–80°, in order of falling intensity)
2θ 30.8, rel. 100
2θ 54.7, rel. 39
2θ 44.1, rel. 32
2θ 64.1, rel. 19
2θ 72.8, rel. 17
2θ 37.9, rel. 11
2θ 21.6, rel. 4
2θ 77.0, rel. 3
2θ 18.7, rel. 3
2θ 49.6, rel. 3
2θ 68.5, rel. 2
2θ 36.3, rel. 1

This entry pairs a crystal structure of BaNaLaMnO6 with its calculated powder diffraction line list. Radiation: Cu Kα. Structure: the PBE+U geometry in the Materials Project.

Atomic structure:
```
10
Lattice="0.0000 4.2578 4.2578 4.2578 0.0000 4.2578 4.2578 4.2578 0.0000" Properties=species:S:1:pos:R:3 pbc="T T T"
Ba 0.0000 0.0000 0.0000
Na 4.2578 4.2578 4.2578
La 2.1289 2.1289 2.1289
Mn 6.3867 6.3867 6.3867
O 6.3867 6.3867 4.4726
O 6.3867 4.4726 6.3867
O 8.3008 6.3867 6.3867
O 4.4726 6.3867 6.3867
O 6.3867 8.3008 6.3867
O 6.3867 6.3867 8.3008
```

Peak list (12 most intense, 2θ = 10–80°, in order of falling intensity)
2θ 29.7, rel. 100
2θ 52.7, rel. 39
2θ 42.5, rel. 35
2θ 18.0, rel. 33
2θ 34.9, rel. 24
2θ 61.6, rel. 21
2θ 69.9, rel. 18
2θ 46.5, rel. 13
2θ 56.1, rel. 8
2θ 64.8, rel. 7
2θ 20.9, rel. 7
2θ 77.7, rel. 7

This entry pairs a crystal structure of BaNaLaMnO6 with its calculated powder diffraction line list. Radiation: Cu Kα. Structure: the PBE+U geometry in the Materials Project.

Atomic structure:
```
40
Lattice="8.4423 0.0000 0.0000 0.0000 8.5043 0.0000 0.0000 0.0000 8.5148" Properties=species:S:1:pos:R:3 pbc="T T T"
Ba 2.1106 2.1261 2.1287
Ba 2.1106 6.3782 2.1287
Ba 6.3317 2.1261 6.3861
Ba 6.3317 6.3782 6.3861
Na 2.1106 2.1261 6.3861
Na 2.1106 6.3782 6.3861
Na 6.3317 2.1261 2.1287
Na 6.3317 6.3782 2.1287
La 0.0000 0.0000 0.0000
La 0.0000 4.2521 4.2574
La 4.2211 0.0000 4.2574
La 4.2211 4.2521 0.0000
Mn 0.0000 0.0000 4.2574
Mn 0.0000 4.2521 0.0000
Mn 4.2211 0.0000 0.0000
Mn 4.2211 4.2521 4.2574
O 0.1647 0.2540 6.1562
O 0.1647 3.9981 6.6160
O 0.2350 6.1566 8.2843
O 0.2350 6.5999 4.4879
O 1.8944 0.1694 3.9985
O 1.8944 4.0827 0.2589
O 2.3267 0.1694 0.2589
O 2.3267 4.0827 3.9985
O 3.9861 6.1566 4.4879
O 3.9861 6.5999 8.2843
O 4.0565 0.2540 6.6160
O 4.0565 3.9981 6.1562
O 4.3858 4.5062 2.3586
O 4.3858 8.2503 1.8988
O 4.4562 1.9044 0.2305
O 4.4562 2.3477 4.0269
O 6.1156 4.4216 4.5163
O 6.1156 8.3348 8.2559
O 6.5479 4.4216 8.2559
O 6.5479 8.3348 4.5163
O 8.2073 1.9044 4.0269
O 8.2073 2.3477 0.2305
O 8.2776 4.5062 1.8988
O 8.2776 8.2503 2.3586
```

Peak list (12 most intense, 2θ = 10–80°, in order of falling intensity)
2θ 29.8, rel. 100
2θ 29.7, rel. 51
2θ 52.8, rel. 42
2θ 42.5, rel. 33
2θ 14.8, rel. 31
2θ 53.0, rel. 21
2θ 61.9, rel. 19
2θ 42.8, rel. 16
2θ 25.7, rel. 15
2θ 69.9, rel. 14
2θ 18.1, rel. 12
2θ 35.0, rel. 10

This entry pairs a crystal structure of BaLaMn2O6 with its calculated powder diffraction line list. Radiation: Cu Kα. Structure: the PBE+U geometry in the Materials Project.

Atomic structure:
```
10
Lattice="3.9647 0.0000 0.0000 0.0000 3.9647 0.0000 0.0000 0.0000 7.9311" Properties=species:S:1:pos:R:3 pbc="T T T"
Ba 0.0000 0.0000 0.0000
La 0.0000 0.0000 3.9655
Mn 1.9823 1.9823 1.9998
Mn 1.9823 1.9823 5.9312
O 0.0000 1.9823 2.1551
O 0.0000 1.9823 5.7759
O 1.9823 0.0000 2.1551
O 1.9823 0.0000 5.7759
O 1.9823 1.9823 0.0000
O 1.9823 1.9823 3.9655
```

Peak list (9 most intense, 2θ = 10–80°, in order of falling intensity)
2θ 31.9, rel. 100
2θ 56.9, rel. 39
2θ 45.8, rel. 33
2θ 39.4, rel. 20
2θ 66.7, rel. 19
2θ 75.9, rel. 16
2θ 22.4, rel. 14
2θ 51.5, rel. 7
2θ 71.4, rel. 4

This entry pairs a crystal structure of BaLaMn2O6 with its calculated powder diffraction line list. Radiation: Cu Kα. Structure: the PBE+U geometry in the Materials Project.

Atomic structure:
```
10
Lattice="0.0000 3.9616 3.9616 3.9616 0.0000 3.9616 3.9616 3.9616 0.0000" Properties=species:S:1:pos:R:3 pbc="T T T"
Ba 0.0000 0.0000 0.0000
La 3.9616 3.9616 3.9616
Mn 1.9808 1.9808 1.9808
Mn 5.9423 5.9423 5.9423
O 1.9808 1.9808 0.0000
O 1.9808 0.0000 1.9808
O 3.9616 1.9808 1.9808
O 0.0000 1.9808 1.9808
O 1.9808 3.9616 1.9808
O 1.9808 1.9808 3.9616
```

Peak list (9 most intense, 2θ = 10–80°, in order of falling intensity)
2θ 31.9, rel. 100
2θ 56.9, rel. 38
2θ 45.8, rel. 33
2θ 39.4, rel. 20
2θ 66.8, rel. 20
2θ 76.0, rel. 16
2θ 22.4, rel. 14
2θ 51.6, rel. 7
2θ 71.4, rel. 4